Structure and simulated powder diffractogram of Nd2Dy4In (a GGA-PBE-relaxed structure; Cu Kα).
No peak broadening, texture or thermal motion is included.

Principal peaks in the range 2θ = 15–90°, sorted by position:
(hkl), 2θ/deg, I_rel
2 1 -1, 28.5, 27
0 4 0, 30.0, 50
2 1 0, 31.5, 65
1 2 -2, 31.7, 34
0 1 2, 31.9, 46
2 1 -2, 33.5, 47
1 4 -1, 34.2, 45
1 3 1, 34.6, 100
2 3 -1, 35.7, 31
1 4 -3, 52.9, 25

Structure:
```
data_Nd2Dy4In
_symmetry_space_group_name_H-M 'P 1'
_symmetry_Int_Tables_number 1
_cell_length_a 6.5111
_cell_length_b 11.9262
_cell_length_c 6.4176
_cell_angle_alpha 90.00
_cell_angle_beta 116.05
_cell_angle_gamma 90.00
loop_
_symmetry_equiv_pos_as_xyz
'x,y,z'
loop_
_atom_site_label
_atom_site_type_symbol
_atom_site_fract_x
_atom_site_fract_y
_atom_site_fract_z
Nd1 Nd 0.1852 0.0207 0.3293
Nd2 Nd 0.1852 0.4793 0.8293
Nd3 Nd 0.8148 0.5207 0.1707
Nd4 Nd 0.8148 0.9793 0.6707
Dy1 Dy 0.1574 0.1976 0.8303
Dy2 Dy 0.1574 0.3024 0.3303
Dy3 Dy 0.3520 0.7244 0.1848
Dy4 Dy 0.3520 0.7756 0.6848
Dy5 Dy 0.6480 0.2244 0.3152
Dy6 Dy 0.6480 0.2756 0.8152
Dy7 Dy 0.8426 0.6976 0.6697
Dy8 Dy 0.8426 0.8024 0.1697
In1 In 0.5000 0.0000 0.0000
In2 In 0.5000 0.5000 0.5000
```